(1)
For Sm3S4Cl, a structure optimized by DFT (GGA-PBE) gives the computed X-ray powder pattern in this record (Cu Ka).
No peak broadening, texture or thermal motion is included.

Structural model:
Cell lengths 7.950, 7.950, 9.860 Å; angles 109.10, 109.10, 53.08 degrees
Fractional coordinates of all 16 atoms:
Sm1 0.006 0.994 0.500
Sm2 0.353 0.379 0.281
Sm3 0.379 0.353 0.781
Sm4 0.598 0.612 0.703
Sm5 0.612 0.598 0.203
Sm6 0.994 0.006 0.000
S1 0.018 0.342 0.147
S2 0.182 0.786 0.240
S3 0.243 0.578 0.556
S4 0.342 0.018 0.647
S5 0.402 0.723 0.935
S6 0.578 0.243 0.056
S7 0.723 0.402 0.435
S8 0.786 0.182 0.740
Cl1 0.643 0.953 0.341
Cl2 0.953 0.643 0.841

Main lines, sorted by position (10 to 90 degrees two-theta):
2θ (°), Rel. int.
13.37, 71
19.08, 73
21.95, 78
23.73, 94
25.07, 56
25.99, 100
36.20, 70
37.06, 92
39.15, 75
44.73, 65



(2)
For Sn4SCl6, a structure optimized by DFT (GGA-PBE) gives the computed X-ray powder pattern in this record (Cu Ka).
No peak broadening, texture or thermal motion is included.

Structural model:
Cell lengths 9.721, 9.721, 6.846 Å; angles 90.00, 90.00, 90.00 degrees
Fractional coordinates of all 22 atoms:
Sn1 0.002 0.250 0.047
Sn2 0.250 0.002 0.547
Sn3 0.250 0.498 0.547
Sn4 0.498 0.250 0.047
Sn5 0.502 0.750 0.953
Sn6 0.750 0.502 0.453
Sn7 0.750 0.998 0.453
Sn8 0.998 0.750 0.953
S1 0.250 0.750 0.750
S2 0.750 0.250 0.250
Cl1 0.050 0.550 0.250
Cl2 0.050 0.950 0.250
Cl3 0.250 0.250 0.312
Cl4 0.250 0.250 0.812
Cl5 0.450 0.550 0.250
Cl6 0.450 0.950 0.250
Cl7 0.550 0.050 0.750
Cl8 0.550 0.450 0.750
Cl9 0.750 0.750 0.188
Cl10 0.750 0.750 0.688
Cl11 0.950 0.050 0.750
Cl12 0.950 0.450 0.750

Main lines, sorted by position (10 to 90 degrees two-theta):
2θ (°), Rel. int.
22.43, 100
25.92, 12
30.52, 11
33.31, 12
37.04, 70
43.69, 36
44.86, 10
60.23, 9
66.71, 10
71.32, 11



(3)
For SnS6Cl8, a structure optimized by DFT (GGA-PBE) gives the computed X-ray powder pattern in this record (Cu Ka).
No peak broadening, texture or thermal motion is included.

Structural model:
Cell lengths 8.209, 8.656, 9.135 Å; angles 91.37, 112.24, 105.93 degrees
Fractional coordinates of all 15 atoms:
Sn1 0.000 0.000 0.000
S1 0.029 0.411 0.441
S2 0.377 0.437 0.946
S3 0.386 0.944 0.419
S4 0.614 0.056 0.581
S5 0.623 0.563 0.054
S6 0.971 0.589 0.559
Cl1 0.055 0.742 0.047
Cl2 0.125 0.087 0.300
Cl3 0.236 0.700 0.708
Cl4 0.318 0.110 0.007
Cl5 0.682 0.890 0.993
Cl6 0.764 0.300 0.292
Cl7 0.875 0.913 0.700
Cl8 0.945 0.258 0.953

Main lines, sorted by position (10 to 90 degrees two-theta):
2θ (°), Rel. int.
10.57, 49
10.74, 43
12.24, 46
13.96, 31
15.03, 100
17.96, 54
19.22, 25
21.24, 33
25.27, 33
33.02, 27



(4)
For SrS2Cl, a structure optimized by DFT (GGA-PBE) gives the computed X-ray powder pattern in this record (Cu Ka).
No peak broadening, texture or thermal motion is included.

Structural model:
Cell lengths 8.626, 13.826, 4.856 Å; angles 90.00, 90.00, 90.00 degrees
Fractional coordinates of all 16 atoms:
Sr1 0.235 0.000 0.000
Sr2 0.265 0.500 0.500
Sr3 0.735 0.500 0.000
Sr4 0.765 0.000 0.500
S1 0.037 0.398 0.948
S2 0.037 0.602 0.052
S3 0.463 0.102 0.448
S4 0.463 0.898 0.552
S5 0.537 0.102 0.052
S6 0.537 0.898 0.948
S7 0.963 0.398 0.552
S8 0.963 0.602 0.448
Cl1 0.000 0.111 0.250
Cl2 0.000 0.889 0.750
Cl3 0.500 0.389 0.750
Cl4 0.500 0.611 0.250

Main lines, sorted by position (10 to 90 degrees two-theta):
2θ (°), Rel. int.
12.81, 100
21.97, 50
22.37, 14
24.32, 13
28.64, 39
30.59, 13
33.22, 43
36.91, 31
38.91, 20
44.58, 14



Repeat the second record exactly.
For Sn4SCl6, a structure optimized by DFT (GGA-PBE) gives the computed X-ray powder pattern in this record (Cu Ka).
No peak broadening, texture or thermal motion is included.

Structural model:
Cell lengths 9.721, 9.721, 6.846 Å; angles 90.00, 90.00, 90.00 degrees
Fractional coordinates of all 22 atoms:
Sn1 0.002 0.250 0.047
Sn2 0.250 0.002 0.547
Sn3 0.250 0.498 0.547
Sn4 0.498 0.250 0.047
Sn5 0.502 0.750 0.953
Sn6 0.750 0.502 0.453
Sn7 0.750 0.998 0.453
Sn8 0.998 0.750 0.953
S1 0.250 0.750 0.750
S2 0.750 0.250 0.250
Cl1 0.050 0.550 0.250
Cl2 0.050 0.950 0.250
Cl3 0.250 0.250 0.312
Cl4 0.250 0.250 0.812
Cl5 0.450 0.550 0.250
Cl6 0.450 0.950 0.250
Cl7 0.550 0.050 0.750
Cl8 0.550 0.450 0.750
Cl9 0.750 0.750 0.188
Cl10 0.750 0.750 0.688
Cl11 0.950 0.050 0.750
Cl12 0.950 0.450 0.750

Main lines, sorted by position (10 to 90 degrees two-theta):
2θ (°), Rel. int.
22.43, 100
25.92, 12
30.52, 11
33.31, 12
37.04, 70
43.69, 36
44.86, 10
60.23, 9
66.71, 10
71.32, 11